# 1
Theoretical X-ray diffraction stick pattern of Li5PuN3 for Cu Kα (λ = 1.5418 Å), from a crystal structure in Alexandria, relaxed with PBE.
Lines closer than 0.1° are merged.

Main lines, low angle first (2θ from 10° to 90°):
| two_theta | I (rel.) |
| --- | --- |
| 16.36 | 95 |
| 21.32 | 100 |
| 24.09 | 77 |
| 25.93 | 31 |
| 26.32 | 35 |
| 29.62 | 47 |
| 33.06 | 18 |
| 35.61 | 44 |
| 37.85 | 23 |
| 41.50 | 21 |
| 43.16 | 18 |
| 43.43 | 33 |

```
data_Li5PuN3
_cell_length_a 11.3370
_cell_length_b 5.2895
_cell_length_c 7.1887
_cell_angle_alpha 90.00
_cell_angle_beta 107.05
_cell_angle_gamma 90.00
_space_group_name_H-M_alt 'C 1 2/c 1'
_space_group_IT_number 15
loop_
_space_group_symop_operation_xyz
'x,y,z'
'-x,-y,-z'
'-x,y,-z+1/2'
'x,-y,z+1/2'
'x+1/2,y+1/2,z'
'-x+1/2,-y+1/2,-z'
'-x+1/2,y+1/2,-z+1/2'
'x+1/2,-y+1/2,z+1/2'
loop_
_atom_site_label
_atom_site_fract_x
_atom_site_fract_y
_atom_site_fract_z
Li1 0.0000 0.2363 0.2500
Li2 0.1678 0.1716 0.5289
Li3 0.1948 0.3057 0.1260
Pu1 0.0000 0.2699 0.7500
N1 0.0000 0.0000 0.0000
N2 0.1600 0.4991 0.3541
```

# 2
Theoretical X-ray diffraction stick pattern of Mn2TePb for Cu Kα (λ = 1.5418 Å), from a crystal structure in Alexandria, relaxed with PBE.
Lines closer than 0.1° are merged.

Main lines, low angle first (2θ from 10° to 90°):
| two_theta | I (rel.) |
| --- | --- |
| 22.95 | 40 |
| 28.75 | 100 |
| 35.17 | 66 |
| 37.53 | 72 |
| 44.07 | 53 |
| 44.44 | 29 |
| 54.12 | 24 |
| 62.43 | 24 |
| 66.21 | 23 |
| 72.27 | 24 |
| 72.63 | 16 |
| 84.72 | 16 |

```
data_Mn2TePb
_cell_length_a 3.3893
_cell_length_b 3.3893
_cell_length_c 7.7516
_cell_angle_alpha 90.00
_cell_angle_beta 90.00
_cell_angle_gamma 90.00
_space_group_name_H-M_alt 'P 4 m m'
_space_group_IT_number 99
loop_
_space_group_symop_operation_xyz
'x,y,z'
'-y,x,z'
'-x,-y,z'
'y,-x,z'
'-x,y,z'
'y,x,z'
'x,-y,z'
'-y,-x,z'
loop_
_atom_site_label
_atom_site_fract_x
_atom_site_fract_y
_atom_site_fract_z
Mn1 0.0000 0.0000 0.0000
Mn2 0.5000 0.5000 0.1819
Te1 0.5000 0.5000 0.8296
Pb1 0.0000 0.0000 0.4086
```

# 3
Theoretical X-ray diffraction stick pattern of Rb4MgSn4 for Cu Kα (λ = 1.5418 Å), from a crystal structure in Alexandria, relaxed with PBE.
Lines closer than 0.1° are merged.

Main lines, low angle first (2θ from 10° to 90°):
| two_theta | I (rel.) |
| --- | --- |
| 13.00 | 19 |
| 17.00 | 32 |
| 20.04 | 56 |
| 26.39 | 12 |
| 27.50 | 100 |
| 30.25 | 14 |
| 31.05 | 19 |
| 37.23 | 69 |
| 38.60 | 14 |
| 43.86 | 21 |
| 54.25 | 23 |
| 74.22 | 15 |

```
data_Rb4MgSn4
_cell_length_a 7.3762
_cell_length_b 7.3762
_cell_length_c 17.7255
_cell_angle_alpha 90.00
_cell_angle_beta 90.00
_cell_angle_gamma 90.00
_space_group_name_H-M_alt 'I -4 2 m'
_space_group_IT_number 121
_space_group_name_Hall 'I -4 2'
loop_
_atom_site_label
_atom_site_fract_x
_atom_site_fract_y
_atom_site_fract_z
Rb1 0.1743 0.1743 0.3536
Mg1 0.0000 0.0000 0.0000
Sn1 0.1355 0.1355 0.1436
```

# 4
Theoretical X-ray diffraction stick pattern of AlCd2Hg2 for Cu Kα (λ = 1.5418 Å), from a crystal structure in Alexandria, relaxed with PBE.
Lines closer than 0.1° are merged.

Main lines, low angle first (2θ from 10° to 90°):
| two_theta | I (rel.) |
| --- | --- |
| 16.51 | 18 |
| 23.43 | 12 |
| 31.67 | 8 |
| 33.86 | 100 |
| 37.45 | 22 |
| 42.77 | 12 |
| 51.03 | 11 |
| 54.33 | 15 |
| 58.14 | 12 |
| 68.72 | 9 |
| 70.38 | 15 |
| 72.63 | 11 |

```
data_AlCd2Hg2
_cell_length_a 7.5937
_cell_length_b 7.5937
_cell_length_c 4.2280
_cell_angle_alpha 90.00
_cell_angle_beta 90.00
_cell_angle_gamma 90.00
_space_group_name_H-M_alt 'P 4/m b m'
_space_group_IT_number 127
_space_group_name_Hall '-P 4 2ab'
loop_
_atom_site_label
_atom_site_fract_x
_atom_site_fract_y
_atom_site_fract_z
Al1 0.0000 0.0000 0.0000
Cd1 0.1405 0.3595 0.0000
Hg1 0.1647 0.6647 0.5000
```